(1)
Starting from a crystal structure in Alexandria, relaxed with PBE, the powder diffractogram of Bi2O3 was simulated for Cu Ka.
Neutral-atom scattering factors, no anomalous dispersion.

Most intense lines, 2θ from 10° to 90°, sorted by position:
18.2 deg, d = 4.884 Å, I 15; 24.0 deg, d = 3.715 Å, I 19; 26.9 deg, d = 3.319 Å, I 100; 27.9 deg, d = 3.199 Å, I 29; 44.5 deg, d = 2.037 Å, I 14; 48.7 deg, d = 1.869 Å, I 24

Structural model:
```
Bi2O3
1.0
5.2845 0.0000 0.0000
0.0000 12.7949 0.0000
0.0000 0.0000 5.7208
Bi O
8 12
direct
0.0504 0.1253 0.1786
0.0504 0.3747 0.6786
0.4496 0.1253 0.6786
0.4496 0.3747 0.1786
0.5504 0.6253 0.8214
0.5504 0.8747 0.3214
0.9496 0.6253 0.3214
0.9496 0.8747 0.8214
0.1212 0.0560 0.8301
0.1212 0.4440 0.3301
0.2500 0.2500 0.4800
0.2500 0.2500 0.9800
0.3788 0.0560 0.3301
0.3788 0.4440 0.8301
0.6212 0.5560 0.1699
0.6212 0.9440 0.6699
0.7500 0.7500 0.0200
0.7500 0.7500 0.5200
0.8788 0.5560 0.6699
0.8788 0.9440 0.1699
```

(2)
Starting from a crystal structure in Alexandria, relaxed with PBE, the powder diffractogram of Bi2O3 was simulated for Cu Ka.
Neutral-atom scattering factors, no anomalous dispersion.

Most intense lines, 2θ from 10° to 90°, sorted by position:
28.1 deg, d = 3.180 Å, I 100; 29.7 deg, d = 3.011 Å, I 79; 41.3 deg, d = 2.186 Å, I 39; 49.7 deg, d = 1.836 Å, I 26; 50.7 deg, d = 1.802 Å, I 43; 58.0 deg, d = 1.590 Å, I 14

Structural model:
```
Bi2O3
1.0
5.1340 -3.1823 0.0000
5.1340 3.1823 0.0000
-3.1697 0.0000 5.1401
Bi O
4 6
direct
0.1379 0.6378 0.8621
0.3622 0.8621 0.6379
0.6378 0.1379 0.3621
0.8621 0.3622 0.1379
0.0061 0.9939 0.2500
0.2497 0.4934 0.4936
0.4934 0.2497 0.9936
0.5066 0.7503 0.0064
0.7503 0.5066 0.5064
0.9939 0.0061 0.7500
```